Diffraction record for La3Co2Sn4. The X-ray powder pattern is simulated, not measured: it uses a cell relaxed with PBE and Cu Ka.
Lines closer than 0.1° are merged.

Structure:
a = 11.7093 Å, b = 4.5747 Å, c = 8.7581 Å
α = 90.00°, β = 104.12°, γ = 90.00°
Space group C2/m (No. 12)
One atom of each set of equivalent atoms:
1 La 0.0000 0.0000 0.0000 x2
2 La 0.1228 0.5000 0.6864 x4
3 Co 0.2017 0.5000 0.3906 x4
4 Sn 0.1017 0.0000 0.3936 x4
5 Sn 0.2086 0.5000 0.0904 x4

Top 10 peaks for 10 to 90 degrees two-theta, most intense first:
(3 1 -1), d 2.933, intensity 100
(1 1 2), d 2.874, intensity 93
(3 1 0), d 2.916, intensity 72
(0 2 0), d 2.287, intensity 59
(3 1 -3), d 2.254, intensity 49
(2 0 -3), d 2.824, intensity 43
(0 0 3), d 2.832, intensity 31
(4 0 1), d 2.514, intensity 26
(7 1 -2), d 1.557, intensity 24
(2 2 -3), d 1.777, intensity 22